Calculated PXRD pattern of InRe2Tc for Cu Kα, from a PBE-relaxed structure.
Neutral-atom scattering factors, no anomalous dispersion.

a = 2.854 Å, b = 3.983 Å, c = 5.760 Å
α = 90.00°, β = 90.01°, γ = 90.00°
Space group Pm (No. 6)
Inequivalent atoms, fractional coordinates:
In  0.000  0.000  0.000 [1 per cell]
Re  0.500  0.500  0.704 [1 per cell]
Re  0.997  0.000  0.502 [1 per cell]
Tc  0.501  0.500  0.269 [1 per cell]

Top 10 peaks for 2θ from 5° to 70°, low angle first:
2θ = 15.38°, I = 31.4, (0 0 1); 2θ = 38.58°, I = 92.4, (0 1 2); 2θ = 38.81°, I = 100.0, (1 1 0); 2θ = 41.98°, I = 11.0, (1 1 -1); 2θ = 44.70°, I = 60.9, (1 0 2); 2θ = 45.55°, I = 31.7, (0 2 0); 2θ = 52.94°, I = 7.2, (0 1 3); 2θ = 64.74°, I = 7.4, (0 0 4); 2θ = 65.39°, I = 10.7, (2 0 0); 2θ = 65.73°, I = 38.4, (1 2 2)